This entry pairs a crystal structure of Al2Si2O9 with its calculated X-ray powder pattern. Radiation: λ = 1.5418 Å (Cu Kα). Structure: the PBE geometry in the Materials Project.
Kinematic intensities with the Lorentz-polarization factor, no thermal factor.

The 8 most intense peaks (5 to 70 degrees two-theta), by intensity:
| 2theta | I (rel.) | index |
| --- | --- | --- |
| 11.91 | 100.0 | 0 0 1 |
| 23.95 | 59.8 | 0 0 2 |
| 20.13 | 50.2 | 1 1 0 |
| 20.83 | 40.2 | 1 0 1 |
| 22.65 | 31.8 | 0 1 -1 |
| 21.12 | 23.8 | 1 1 1 |
| 38.62 | 18.8 | -1 1 1 |
| 25.92 | 16.4 | 1 0 -1 |

Atomic structure:
Unit cell a=5.218 b=5.224 c=7.702 alpha=84.06 beta=74.88 gamma=60.31
Space group P1 (No. 1)
Inequivalent atoms, fractional coordinates:
Al 0.000 0.000 0.000 (multiplicity 1)
Al 0.362 0.363 0.000 (multiplicity 1)
Si 0.548 0.340 0.372 (multiplicity 1)
Si 0.890 0.683 0.373 (multiplicity 1)
O 0.007 0.683 0.151 (multiplicity 1)
O 0.113 0.294 0.875 (multiplicity 1)
O 0.184 0.481 0.455 (multiplicity 1)
O 0.259 0.068 0.098 (multiplicity 1)
O 0.344 0.685 0.858 (multiplicity 1)
O 0.625 0.302 0.151 (multiplicity 1)
O 0.660 0.550 0.429 (multiplicity 1)
O 0.721 0.016 0.454 (multiplicity 1)
O 0.728 0.068 0.859 (multiplicity 1)

This entry pairs a crystal structure of AlSi3O8 with its calculated X-ray powder pattern. Radiation: λ = 1.5418 Å (Cu Kα). Structure: the PBE geometry in the Materials Project.
Kinematic intensities with the Lorentz-polarization factor, no thermal factor.

The 8 most intense peaks (5 to 70 degrees two-theta), by intensity:
| 2theta | I (rel.) | index |
| --- | --- | --- |
| 22.57 | 100.0 | 1 1 -1 |
| 26.44 | 92.0 | 0 0 2 |
| 27.93 | 89.2 | 2 -2 0 |
| 27.29 | 80.4 | 2 0 -1 |
| 24.07 | 76.5 | 1 -2 0 |
| 13.13 | 54.0 | 0 0 1 |
| 15.05 | 35.1 | 1 0 0 |
| 23.71 | 34.7 | 0 1 -2 |

Atomic structure:
Unit cell a=7.316 b=7.719 c=7.782 alpha=106.30 beta=104.04 gamma=116.71
Space group P-1 (No. 2)
Inequivalent atoms, fractional coordinates:
Al 0.233 0.052 0.281 (multiplicity 2)
Si 0.045 0.332 0.157 (multiplicity 2)
Si 0.381 0.664 0.843 (multiplicity 2)
Si 0.459 0.283 0.732 (multiplicity 2)
O 0.051 0.789 0.083 (multiplicity 2)
O 0.089 0.182 0.249 (multiplicity 2)
O 0.130 0.622 0.779 (multiplicity 2)
O 0.286 0.565 0.249 (multiplicity 2)
O 0.303 0.073 0.519 (multiplicity 2)
O 0.351 0.429 0.758 (multiplicity 2)
O 0.479 0.193 0.250 (multiplicity 2)
O 0.483 0.215 0.914 (multiplicity 2)

This entry pairs a crystal structure of Al2Si2O7 with its calculated X-ray powder pattern. Radiation: λ = 1.5418 Å (Cu Kα). Structure: the PBE geometry in the Materials Project.
Kinematic intensities with the Lorentz-polarization factor, no thermal factor.

The 8 most intense peaks (5 to 70 degrees two-theta), by intensity:
| 2theta | I (rel.) | index |
| --- | --- | --- |
| 19.48 | 100.0 | 1 0 -1 |
| 20.57 | 59.7 | -1 1 1 |
| 24.91 | 57.2 | 0 2 0 |
| 12.38 | 49.5 | 0 1 0 |
| 22.11 | 19.8 | 0 1 -2 |
| 20.43 | 18.7 | 1 -1 1 |
| 35.27 | 17.5 | 2 0 0 |
| 24.26 | 11.5 | 0 1 2 |

Atomic structure:
Unit cell a=5.352 b=7.547 c=9.132 alpha=94.94 beta=91.89 gamma=107.79
Space group P1 (No. 1)
Inequivalent atoms, fractional coordinates:
Al 0.000 0.000 0.000 (multiplicity 1)
Al 0.249 0.001 0.251 (multiplicity 1)
Al 0.501 0.001 0.500 (multiplicity 1)
Al 0.751 0.001 0.750 (multiplicity 1)
Si 0.169 0.398 0.203 (multiplicity 1)
Si 0.175 0.401 0.868 (multiplicity 1)
Si 0.667 0.398 0.703 (multiplicity 1)
Si 0.676 0.400 0.368 (multiplicity 1)
O 0.066 0.167 0.850 (multiplicity 1)
O 0.072 0.165 0.181 (multiplicity 1)
O 0.173 0.471 0.041 (multiplicity 1)
O 0.199 0.890 0.409 (multiplicity 1)
O 0.212 0.895 0.073 (multiplicity 1)
O 0.466 0.467 0.807 (multiplicity 1)
O 0.470 0.474 0.276 (multiplicity 1)
O 0.567 0.167 0.349 (multiplicity 1)
O 0.572 0.165 0.682 (multiplicity 1)
O 0.672 0.470 0.541 (multiplicity 1)
O 0.700 0.888 0.908 (multiplicity 1)
O 0.714 0.896 0.572 (multiplicity 1)
O 0.967 0.475 0.777 (multiplicity 1)
O 0.970 0.467 0.308 (multiplicity 1)

This entry pairs a crystal structure of Al2Si2O9 with its calculated X-ray powder pattern. Radiation: λ = 1.5418 Å (Cu Kα). Structure: the PBE geometry in the Materials Project.
Kinematic intensities with the Lorentz-polarization factor, no thermal factor.

The 8 most intense peaks (5 to 70 degrees two-theta), by intensity:
| 2theta | I (rel.) | index |
| --- | --- | --- |
| 12.03 | 100.0 | 0 0 2 |
| 24.19 | 66.0 | 0 0 4 |
| 37.65 | 48.0 | 1 3 -3 |
| 21.41 | 42.6 | 1 1 1 |
| 19.84 | 38.8 | 1 1 -1 |
| 22.97 | 31.7 | 0 2 2 |
| 19.73 | 28.7 | 1 1 0 |
| 53.75 | 26.9 | 1 3 -7 |

Atomic structure:
Unit cell a=5.240 b=9.107 c=14.895 alpha=90.00 beta=98.88 gamma=90.00
Space group Cc (No. 9)
Inequivalent atoms, fractional coordinates:
Al 0.000 0.089 0.000 (multiplicity 4)
Al 0.043 0.407 0.000 (multiplicity 4)
Si 0.447 0.423 0.188 (multiplicity 4)
Si 0.461 0.248 0.689 (multiplicity 4)
O 0.098 0.244 0.928 (multiplicity 4)
O 0.175 0.447 0.430 (multiplicity 4)
O 0.184 0.060 0.437 (multiplicity 4)
O 0.216 0.163 0.716 (multiplicity 4)
O 0.224 0.337 0.231 (multiplicity 4)
O 0.353 0.057 0.049 (multiplicity 4)
O 0.368 0.440 0.076 (multiplicity 4)
O 0.444 0.251 0.577 (multiplicity 4)
O 0.476 0.413 0.731 (multiplicity 4)